Starting from a structure optimized by DFT (PBE+U), the X-ray diffraction stick pattern of Fe4O3F5 was calculated for CuKα.
No peak broadening, texture or thermal motion is included.

Most intense lines, 10 to 90 degrees two-theta, by intensity:
index, 2theta, I (rel.)
2 1 1, 34.41, 100.0
0 2 0, 25.38, 99.9
0 0 2, 27.19, 91.5
2 3 1, 50.81, 65.7
2 3 3, 65.75, 51.4
2 1 3, 52.85, 49.3
0 4 0, 52.13, 21.0
2 2 0, 38.72, 18.2

Structure:
```
data_Fe4O3F5
_chemical_formula_sum 'Fe8 O6 F10'
_cell_length_a 6.2108
_cell_length_b 7.0177
_cell_length_c 6.5590
_cell_angle_alpha 90.00
_cell_angle_beta 90.00
_cell_angle_gamma 90.00
_space_group_name_H-M_alt 'P m m n'
_space_group_IT_number 59
loop_
_space_group_symop_operation_xyz
'x,y,z'
'-x,-y,-z'
'-x+1/2,-y+1/2,z'
'x+1/2,y+1/2,-z'
'x+1/2,-y,-z'
'-x+1/2,y,z'
'-x,y+1/2,-z'
'x,-y+1/2,z'
loop_
_atom_site_label
_atom_site_type_symbol
_atom_site_fract_x
_atom_site_fract_y
_atom_site_fract_z
_atom_site_occupancy
Fe1 Fe 0.0188 0.2500 0.2390 1
Fe2 Fe 0.2500 0.2500 0.7384 1
Fe3 Fe 0.2500 0.7500 0.2205 1
O1 O 0.2500 0.2500 0.0436 1
O2 O 0.2500 0.2500 0.4364 1
O3 O 0.2500 0.7500 0.9320 1
F1 F 0.0192 0.5517 0.2519 1
F2 F 0.2500 0.7500 0.5405 1
```